Theoretical powder diffraction line list of HoMgFe2O6 for λ = 1.5418 Å (Cu Kα), from a DFT-relaxed cell (GGA+U, Alexandria).

Cell and atoms:
```
HoMgFe2O6
1.0
7.568 0.000 0.000
0.000 5.473 0.000
0.000 0.000 5.190
Ho Mg Fe O
2 2 4 12
direct
0.000 0.180 0.000
0.500 0.820 0.500
0.000 0.687 0.463
0.500 0.313 0.963
0.249 0.743 0.983
0.251 0.257 0.483
0.749 0.257 0.483
0.751 0.743 0.983
0.000 0.305 0.592
0.000 0.788 0.850
0.187 0.450 0.182
0.188 0.938 0.294
0.312 0.062 0.794
0.313 0.550 0.682
0.500 0.212 0.350
0.500 0.695 0.092
0.687 0.550 0.682
0.688 0.062 0.794
0.812 0.938 0.294
0.813 0.450 0.182
```

Main lines, most intense first (2θ = 10–90°):
- hkl 2 1 1, 2θ 33.57, d 2.669, I = 100
- hkl 1 0 1, 2θ 20.75, d 4.280, I = 45
- hkl 1 1 0, 2θ 20.02, d 4.435, I = 39
- hkl 2 1 3, 2θ 61.31, d 1.512, I = 24
- hkl 0 0 2, 2θ 34.57, d 2.595, I = 22
- hkl 0 2 2, 2θ 48.34, d 1.883, I = 19
- hkl 1 1 2, 2θ 40.27, d 2.240, I = 19
- hkl 0 2 0, 2θ 32.73, d 2.736, I = 19